This entry pairs a crystal structure of Tb2Er5Pd4 with its computed powder X-ray diffraction pattern. Radiation: copper Kα. Structure: a cell relaxed with GGA-PBE.
Intensities are scaled so that the largest is 100.

Principal peaks in the range 2θ from 10° to 90°, by intensity:
two_theta, intensity
30.5, 100
31.9, 99
36.9, 94
35.0, 61
25.2, 52
44.3, 45

Atomic structure:
Lattice parameters (Å, degrees): 12.3342 12.3342 6.7552 91.49 91.49 16.67
Positions (direct):
Tb (0.2352, 0.2352, 0.2534)
Tb (0.7648, 0.7648, 0.7466)
Er (0.0904, 0.0904, 0.1660)
Er (0.1333, 0.1333, 0.6764)
Er (0.5000, 0.5000, 0.5000)
Er (0.8667, 0.8667, 0.3236)
Er (0.9096, 0.9096, 0.8340)
Pd (0.0255, 0.0255, 0.8119)
Pd (0.3312, 0.3312, 0.0075)
Pd (0.6688, 0.6688, 0.9925)
Pd (0.9745, 0.9745, 0.1881)


This entry pairs a crystal structure of Tb2ErPd with its computed powder X-ray diffraction pattern. Radiation: copper Kα. Structure: a cell relaxed with GGA-PBE.
Intensities are scaled so that the largest is 100.

Principal peaks in the range 2θ from 10° to 90°, by intensity:
two_theta, intensity
31.9, 100
30.9, 99
30.5, 96
31.5, 90
34.5, 67
33.5, 55

Atomic structure:
Lattice parameters (Å, degrees): 7.0105 9.7247 6.4481 90.00 90.00 90.00
Positions (direct):
Tb (0.1831, 0.0591, 0.1758)
Tb (0.1831, 0.4409, 0.1758)
Tb (0.3169, 0.5591, 0.6758)
Tb (0.3169, 0.9409, 0.6758)
Tb (0.6831, 0.0591, 0.3242)
Tb (0.6831, 0.4409, 0.3242)
Tb (0.8169, 0.5591, 0.8242)
Tb (0.8169, 0.9409, 0.8242)
Er (0.0253, 0.2500, 0.6336)
Er (0.4747, 0.7500, 0.1336)
Er (0.5253, 0.2500, 0.8664)
Er (0.9747, 0.7500, 0.3664)
Pd (0.1096, 0.7500, 0.9461)
Pd (0.3904, 0.2500, 0.4461)
Pd (0.6096, 0.7500, 0.5539)
Pd (0.8904, 0.2500, 0.0539)


This entry pairs a crystal structure of Tb3Er3Pd4 with its computed powder X-ray diffraction pattern. Radiation: copper Kα. Structure: a cell relaxed with GGA-PBE.
Intensities are scaled so that the largest is 100.

Principal peaks in the range 2θ from 10° to 90°, by intensity:
two_theta, intensity
34.4, 100
34.3, 98
32.3, 65
36.5, 52
36.7, 51
45.8, 34

Atomic structure:
Lattice parameters (Å, degrees): 3.9622 7.7688 7.7688 90.43 90.00 90.00
Positions (direct):
Tb (0.0000, 0.0000, 0.0000)
Tb (0.0000, 0.4987, 0.8299)
Tb (0.0000, 0.8299, 0.4987)
Er (0.0000, 0.3310, 0.3310)
Er (0.5000, 0.1650, 0.6639)
Er (0.5000, 0.6639, 0.1650)
Pd (0.5000, 0.0351, 0.2991)
Pd (0.5000, 0.2991, 0.0351)
Pd (0.5000, 0.5291, 0.5291)
Pd (0.5000, 0.7972, 0.7972)


This entry pairs a crystal structure of Tb2Er3Pd3 with its computed powder X-ray diffraction pattern. Radiation: copper Kα. Structure: a cell relaxed with GGA-PBE.
Intensities are scaled so that the largest is 100.

Principal peaks in the range 2θ from 10° to 90°, by intensity:
two_theta, intensity
35.3, 100
35.0, 29
62.9, 19
34.4, 18
49.9, 12
27.5, 11

Atomic structure:
Lattice parameters (Å, degrees): 10.8908 10.8908 10.8908 161.29 152.75 33.26
Positions (direct):
Tb (0.2267, 0.2267, 0.0000)
Tb (0.7733, 0.7733, 0.0000)
Er (0.0000, 0.0000, 0.0000)
Er (0.3851, 0.8851, 0.5000)
Er (0.6149, 0.1149, 0.5000)
Pd (0.1135, 0.6135, 0.5000)
Pd (0.5000, 0.5000, 0.0000)
Pd (0.8865, 0.3865, 0.5000)


This entry pairs a crystal structure of Tb3Er2Pd3 with its computed powder X-ray diffraction pattern. Radiation: copper Kα. Structure: a cell relaxed with GGA-PBE.
Intensities are scaled so that the largest is 100.

Principal peaks in the range 2θ from 10° to 90°, by intensity:
two_theta, intensity
35.1, 100
34.7, 29
62.5, 19
34.1, 18
49.4, 13
27.3, 11

Atomic structure:
Lattice parameters (Å, degrees): 10.9833 10.9833 10.9833 161.45 152.77 33.15
Positions (direct):
Tb (0.0000, 0.0000, 0.0000)
Tb (0.3834, 0.8834, 0.5000)
Tb (0.6166, 0.1166, 0.5000)
Er (0.2258, 0.2258, 0.0000)
Er (0.7742, 0.7742, 0.0000)
Pd (0.1161, 0.6161, 0.5000)
Pd (0.5000, 0.5000, 0.0000)
Pd (0.8839, 0.3839, 0.5000)


This entry pairs a crystal structure of TbEr5Pd6 with its computed powder X-ray diffraction pattern. Radiation: copper Kα. Structure: a cell relaxed with GGA-PBE.
Intensities are scaled so that the largest is 100.

Principal peaks in the range 2θ from 10° to 90°, by intensity:
two_theta, intensity
36.7, 100
36.1, 52
65.3, 37
52.0, 18
66.4, 17
78.0, 11

Atomic structure:
Lattice parameters (Å, degrees): 8.5774 8.5774 8.5774 146.26 133.09 59.02
Positions (direct):
Tb (0.0000, 0.0000, 0.0000)
Er (0.1669, 0.6669, 0.5000)
Er (0.3334, 0.3334, 0.0000)
Er (0.5000, 0.0000, 0.5000)
Er (0.6666, 0.6666, 0.0000)
Er (0.8331, 0.3331, 0.5000)
Pd (0.0830, 0.8316, 0.2514)
Pd (0.2536, 0.5000, 0.7536)
Pd (0.4198, 0.1684, 0.2514)
Pd (0.5802, 0.8316, 0.7486)
Pd (0.7464, 0.5000, 0.2464)
Pd (0.9170, 0.1684, 0.7486)


This entry pairs a crystal structure of Er7Te2Pd2 with its computed powder X-ray diffraction pattern. Radiation: copper Kα. Structure: a cell relaxed with GGA-PBE.
Intensities are scaled so that the largest is 100.

Principal peaks in the range 2θ from 10° to 90°, by intensity:
two_theta, intensity
33.7, 100
32.9, 60
29.9, 48
34.2, 47
28.5, 31
46.2, 28

Atomic structure:
Lattice parameters (Å, degrees): 9.3626 9.3626 9.3626 155.75 67.28 118.32
Positions (direct):
Er (0.0000, 0.0000, 0.0000)
Er (0.0576, 0.3746, 0.6829)
Er (0.0903, 0.7336, 0.3566)
Er (0.3770, 0.7336, 0.6434)
Er (0.4533, 0.5831, 0.8702)
Er (0.6917, 0.3746, 0.3171)
Er (0.7130, 0.5831, 0.1298)
Te (0.3377, 0.3377, 0.0000)
Te (0.7351, 0.2351, 0.5000)
Pd (0.3063, 0.0697, 0.2365)
Pd (0.8332, 0.0697, 0.7635)


This entry pairs a crystal structure of ErThPd3 with its computed powder X-ray diffraction pattern. Radiation: copper Kα. Structure: a cell relaxed with GGA-PBE.
Intensities are scaled so that the largest is 100.

Principal peaks in the range 2θ from 10° to 90°, by intensity:
two_theta, intensity
38.9, 100
36.7, 86
27.8, 64
28.9, 44
42.5, 42
36.9, 34

Atomic structure:
Lattice parameters (Å, degrees): 4.2576 5.8048 8.9832 90.00 90.00 90.00
Positions (direct):
Er (0.2500, 0.2500, 0.0503)
Er (0.7500, 0.7500, 0.9497)
Th (0.2500, 0.7500, 0.3889)
Th (0.7500, 0.2500, 0.6111)
Pd (0.2500, 0.2500, 0.3731)
Pd (0.2500, 0.5084, 0.7784)
Pd (0.2500, 0.9916, 0.7784)
Pd (0.7500, 0.0084, 0.2216)
Pd (0.7500, 0.4916, 0.2216)
Pd (0.7500, 0.7500, 0.6269)


This entry pairs a crystal structure of ErTh4Pd4 with its computed powder X-ray diffraction pattern. Radiation: copper Kα. Structure: a cell relaxed with GGA-PBE.
Intensities are scaled so that the largest is 100.

Principal peaks in the range 2θ from 10° to 90°, by intensity:
two_theta, intensity
31.7, 100
26.8, 46
31.3, 45
37.4, 35
45.4, 34
47.5, 32

Atomic structure:
Lattice parameters (Å, degrees): 8.9261 8.9261 6.0265 90.00 90.00 90.00
Positions (direct):
Er (0.2500, 0.2500, 0.2500)
Er (0.7500, 0.7500, 0.7500)
Th (0.0474, 0.6660, 0.1517)
Th (0.1660, 0.9526, 0.6517)
Th (0.3340, 0.5474, 0.6517)
Th (0.4526, 0.8340, 0.1517)
Th (0.5474, 0.1660, 0.8483)
Th (0.6660, 0.4526, 0.3483)
Th (0.8340, 0.0474, 0.3483)
Th (0.9526, 0.3340, 0.8483)
Pd (0.0306, 0.6391, 0.6392)
Pd (0.1391, 0.9694, 0.1392)
Pd (0.3609, 0.5306, 0.1392)
Pd (0.4694, 0.8609, 0.6392)
Pd (0.5306, 0.1391, 0.3608)
Pd (0.6391, 0.4694, 0.8608)
Pd (0.8609, 0.0306, 0.8608)
Pd (0.9694, 0.3609, 0.3608)


This entry pairs a crystal structure of ErTh2Pd7 with its computed powder X-ray diffraction pattern. Radiation: copper Kα. Structure: a cell relaxed with GGA-PBE.
Intensities are scaled so that the largest is 100.

Principal peaks in the range 2θ from 10° to 90°, by intensity:
two_theta, intensity
37.8, 100
24.3, 41
44.8, 31
77.9, 24
63.1, 22
42.0, 19

Atomic structure:
Lattice parameters (Å, degrees): 9.6001 9.0486 5.1640 79.90 68.12 31.98
Positions (direct):
Er (0.0000, 0.0000, 0.0000)
Th (0.3327, 0.3327, 0.6673)
Th (0.6673, 0.6673, 0.3327)
Pd (0.0830, 0.0830, 0.4170)
Pd (0.2500, 0.2500, 0.2500)
Pd (0.4170, 0.4170, 0.0830)
Pd (0.5000, 0.5000, 0.5000)
Pd (0.5830, 0.5830, 0.9170)
Pd (0.7500, 0.7500, 0.7500)
Pd (0.9170, 0.9170, 0.5830)


This entry pairs a crystal structure of ErThPd4 with its computed powder X-ray diffraction pattern. Radiation: copper Kα. Structure: a cell relaxed with GGA-PBE.
Intensities are scaled so that the largest is 100.

Principal peaks in the range 2θ from 10° to 90°, by intensity:
two_theta, intensity
37.9, 100
38.1, 97
41.2, 63
29.4, 46
61.1, 39
43.0, 39

Atomic structure:
Lattice parameters (Å, degrees): 10.1935 10.1935 5.8189 90.00 90.00 156.17
Positions (direct):
Er (0.2251, 0.7749, 0.7500)
Er (0.7749, 0.2251, 0.2500)
Th (0.0806, 0.9194, 0.2500)
Th (0.9194, 0.0806, 0.7500)
Pd (0.0733, 0.9267, 0.7500)
Pd (0.3509, 0.6491, 0.0123)
Pd (0.3509, 0.6491, 0.4877)
Pd (0.5000, 0.5000, 0.0000)
Pd (0.5000, 0.5000, 0.5000)
Pd (0.6491, 0.3509, 0.5123)
Pd (0.6491, 0.3509, 0.9877)
Pd (0.9267, 0.0733, 0.2500)


This entry pairs a crystal structure of Er4Tl2Pd with its computed powder X-ray diffraction pattern. Radiation: copper Kα. Structure: a cell relaxed with GGA-PBE.
Intensities are scaled so that the largest is 100.

Principal peaks in the range 2θ from 10° to 90°, by intensity:
two_theta, intensity
32.9, 100
32.7, 76
29.7, 49
26.4, 45
36.8, 43
33.5, 42

Atomic structure:
Lattice parameters (Å, degrees): 6.8190 3.7153 8.4283 90.00 107.71 90.00
Positions (direct):
Er (0.0866, 0.0000, 0.2934)
Er (0.3656, 0.5000, 0.6815)
Er (0.6344, 0.5000, 0.3185)
Er (0.9134, 0.0000, 0.7066)
Tl (0.2341, 0.5000, 0.0045)
Tl (0.7659, 0.5000, 0.9955)
Pd (0.5000, 0.0000, 0.5000)


This entry pairs a crystal structure of Er5TlPd2 with its computed powder X-ray diffraction pattern. Radiation: copper Kα. Structure: a cell relaxed with GGA-PBE.
Intensities are scaled so that the largest is 100.

Principal peaks in the range 2θ from 10° to 90°, by intensity:
two_theta, intensity
32.6, 100
36.4, 71
35.4, 36
31.3, 31
67.8, 24
57.2, 18

Atomic structure:
Lattice parameters (Å, degrees): 8.6595 8.6595 8.6595 126.40 126.40 79.23
Positions (direct):
Er (0.0000, 0.0000, 0.0000)
Er (0.0166, 0.5166, 0.8144)
Er (0.2022, 0.0166, 0.5000)
Er (0.2978, 0.7978, 0.8144)
Er (0.4834, 0.2978, 0.5000)
Er (0.5000, 0.5000, 0.0000)
Er (0.5166, 0.7022, 0.5000)
Er (0.7022, 0.2022, 0.1856)
Er (0.7978, 0.9834, 0.5000)
Er (0.9834, 0.4834, 0.1856)
Tl (0.2500, 0.2500, 0.0000)
Tl (0.7500, 0.7500, 0.0000)
Pd (0.1352, 0.3648, 0.5000)
Pd (0.3648, 0.8648, 0.2296)
Pd (0.6352, 0.1352, 0.7704)
Pd (0.8648, 0.6352, 0.5000)